Entry 1:
The following is a theoretical powder diffraction line list of Co2HRu. It was derived from a structure optimized by DFT (PBE), using Cu Kα (λ = 1.5418 Å).

Structural model:
```
data_Co2HRu
_chemical_formula_sum 'Co2 H1 Ru1'
_cell_length_a 6.4535
_cell_length_b 6.4535
_cell_length_c 6.4535
_cell_angle_alpha 23.56
_cell_angle_beta 23.56
_cell_angle_gamma 23.56
_space_group_name_H-M_alt 'P 1'
_space_group_IT_number 1
_space_group_name_Hall 'P 1'
loop_
_atom_site_label
_atom_site_fract_x
_atom_site_fract_y
_atom_site_fract_z
_atom_site_occupancy
Co1 0.0000 0.0000 0.0000 1
Co2 0.2200 0.2200 0.2200 1
H1 0.6103 0.6103 0.6103 1
Ru1 0.4428 0.4428 0.4428 1
```

Top 12 peaks for 15° ≤ 2θ ≤ 90°, sorted by position:
2theta, I/Imax
39.78, 38
40.68, 31
43.28, 51
44.10, 100
46.54, 91
52.61, 16
71.61, 32
78.21, 16
83.47, 15
87.51, 37
88.08, 13
89.81, 13


Entry 2:
The following is a theoretical powder diffraction line list of VCoHRu2. It was derived from a structure optimized by DFT (PBE), using Cu Kα (λ = 1.5418 Å).

Structural model:
```
data_VCoHRu2
_chemical_formula_sum 'V1 Co1 H1 Ru2'
_cell_length_a 3.8504
_cell_length_b 3.8504
_cell_length_c 3.6112
_cell_angle_alpha 90.00
_cell_angle_beta 90.00
_cell_angle_gamma 90.00
_space_group_name_H-M_alt 'P 1'
_space_group_IT_number 1
_space_group_name_Hall 'P 1'
loop_
_atom_site_label
_atom_site_fract_x
_atom_site_fract_y
_atom_site_fract_z
_atom_site_occupancy
V1 0.0000 0.0000 0.0000 1
Co1 0.5000 0.5000 0.0000 1
H1 0.5000 0.5000 0.5000 1
Ru1 0.0000 0.5000 0.5000 1
Ru2 0.5000 0.0000 0.5000 1
```

Top 12 peaks for 15° ≤ 2θ ≤ 90°, sorted by position:
2theta, I/Imax
24.65, 9
32.90, 8
41.54, 100
47.21, 35
50.55, 14
53.97, 4
61.64, 3
68.99, 10
71.66, 19
74.49, 2
83.85, 24
88.89, 11


Entry 3:
The following is a theoretical powder diffraction line list of CoHS. It was derived from a structure optimized by DFT (PBE), using Cu Kα (λ = 1.5418 Å).

Structural model:
```
data_CoHS
_chemical_formula_sum 'Co8 H8 S8'
_cell_length_a 5.2713
_cell_length_b 5.3100
_cell_length_c 10.6825
_cell_angle_alpha 78.20
_cell_angle_beta 76.41
_cell_angle_gamma 66.07
_space_group_name_H-M_alt 'P 1'
_space_group_IT_number 1
_space_group_name_Hall 'P 1'
loop_
_atom_site_label
_atom_site_fract_x
_atom_site_fract_y
_atom_site_fract_z
_atom_site_occupancy
Co1 0.0000 0.0000 0.0000 1
Co2 0.0123 0.0478 0.5371 1
Co3 0.2258 0.4817 0.0478 1
Co4 0.3130 0.4844 0.5258 1
Co5 0.4401 0.9954 0.3155 1
Co6 0.5674 0.0407 0.7955 1
Co7 0.8181 0.4557 0.2561 1
Co8 0.8576 0.5504 0.7352 1
H1 0.0042 0.7203 0.6034 1
H2 0.2714 0.0489 0.9027 1
H3 0.2968 0.7574 0.0195 1
H4 0.3078 0.8150 0.4514 1
H5 0.5295 0.7212 0.2410 1
H6 0.5657 0.7991 0.7256 1
H7 0.7383 0.7422 0.3186 1
H8 0.9734 0.6585 0.1513 1
S1 0.1131 0.3659 0.3962 1
S2 0.1507 0.1199 0.1532 1
S3 0.2143 0.1796 0.6775 1
S4 0.5937 0.2708 0.1540 1
S5 0.6347 0.3231 0.8997 1
S6 0.6573 0.3591 0.6418 1
S7 0.6726 0.1701 0.4159 1
S8 0.9274 0.7208 0.8957 1
```

Top 12 peaks for 15° ≤ 2θ ≤ 90°, sorted by position:
2theta, I/Imax
18.42, 58
23.25, 100
27.63, 34
30.45, 78
35.24, 26
35.34, 20
36.15, 55
37.34, 24
42.65, 26
43.41, 66
48.47, 28
48.73, 41


Entry 4:
The following is a theoretical powder diffraction line list of ScCo5H11. It was derived from a structure optimized by DFT (PBE), using Cu Kα (λ = 1.5418 Å).

Structural model:
```
data_ScCo5H11
_chemical_formula_sum 'Sc1 Co5 H11'
_cell_length_a 5.1211
_cell_length_b 5.1211
_cell_length_c 4.5874
_cell_angle_alpha 105.88
_cell_angle_beta 105.88
_cell_angle_gamma 94.17
_space_group_name_H-M_alt 'P 1'
_space_group_IT_number 1
_space_group_name_Hall 'P 1'
loop_
_atom_site_label
_atom_site_fract_x
_atom_site_fract_y
_atom_site_fract_z
_atom_site_occupancy
Sc1 0.0000 0.0000 0.0000 1
Co1 0.0098 0.3682 0.7043 1
Co2 0.3682 0.0098 0.7043 1
Co3 0.5000 0.5000 0.0000 1
Co4 0.6318 0.9902 0.2957 1
Co5 0.9902 0.6318 0.2957 1
H1 0.0000 0.0000 0.5000 1
H2 0.1611 0.6781 0.6715 1
H3 0.1739 0.4363 0.0891 1
H4 0.3073 0.3073 0.6240 1
H5 0.3219 0.8389 0.3285 1
H6 0.4363 0.1739 0.0891 1
H7 0.5637 0.8261 0.9109 1
H8 0.6781 0.1611 0.6715 1
H9 0.6927 0.6927 0.3760 1
H10 0.8261 0.5637 0.9109 1
H11 0.8389 0.3219 0.3285 1
```

Top 12 peaks for 15° ≤ 2θ ≤ 90°, sorted by position:
2theta, I/Imax
23.37, 100
31.99, 63
36.60, 61
36.97, 87
40.85, 85
41.50, 64
41.85, 64
47.33, 37
49.75, 44
52.49, 46
56.80, 20
76.15, 23


Entry 5:
The following is a theoretical powder diffraction line list of ScCoH6. It was derived from a structure optimized by DFT (PBE), using Cu Kα (λ = 1.5418 Å).

Structural model:
```
data_ScCoH6
_chemical_formula_sum 'Sc1 Co1 H6'
_cell_length_a 4.2386
_cell_length_b 4.2386
_cell_length_c 4.2386
_cell_angle_alpha 57.49
_cell_angle_beta 57.49
_cell_angle_gamma 57.49
_space_group_name_H-M_alt 'P 1'
_space_group_IT_number 1
_space_group_name_Hall 'P 1'
loop_
_atom_site_label
_atom_site_fract_x
_atom_site_fract_y
_atom_site_fract_z
_atom_site_occupancy
Sc1 0.0000 0.0000 0.0000 1
Co1 0.5000 0.5000 0.5000 1
H1 0.0643 0.5989 0.5989 1
H2 0.4011 0.4011 0.9357 1
H3 0.4011 0.9357 0.4011 1
H4 0.5989 0.0643 0.5989 1
H5 0.5989 0.5989 0.0643 1
H6 0.9357 0.4011 0.4011 1
```

Top 12 peaks for 15° ≤ 2θ ≤ 90°, sorted by position:
2theta, I/Imax
26.62, 5
30.44, 100
42.73, 41
44.45, 33
51.86, 8
54.83, 18
63.35, 10
70.65, 16
73.14, 14
77.03, 6
80.65, 10
81.85, 5


Entry 6:
The following is a theoretical powder diffraction line list of SmScCo2H8. It was derived from a structure optimized by DFT (PBE), using Cu Kα (λ = 1.5418 Å).

Structural model:
```
data_SmScCo2H8
_chemical_formula_sum 'Sm1 Sc1 Co2 H8'
_cell_length_a 6.0190
_cell_length_b 6.0190
_cell_length_c 6.0190
_cell_angle_alpha 45.11
_cell_angle_beta 45.11
_cell_angle_gamma 45.11
_space_group_name_H-M_alt 'P 1'
_space_group_IT_number 1
_space_group_name_Hall 'P 1'
loop_
_atom_site_label
_atom_site_fract_x
_atom_site_fract_y
_atom_site_fract_z
_atom_site_occupancy
Sm1 0.0000 0.0000 0.0000 1
Sc1 0.5000 0.5000 0.5000 1
Co1 0.1933 0.1933 0.1933 1
Co2 0.8067 0.8067 0.8067 1
H1 0.0773 0.8742 0.4002 1
H2 0.1258 0.5998 0.9227 1
H3 0.2997 0.2997 0.2997 1
H4 0.4002 0.0773 0.8742 1
H5 0.5998 0.9227 0.1258 1
H6 0.7003 0.7003 0.7003 1
H7 0.8742 0.4002 0.0773 1
H8 0.9227 0.1258 0.5998 1
```

Top 12 peaks for 15° ≤ 2θ ≤ 90°, sorted by position:
2theta, I/Imax
22.91, 88
24.83, 30
31.45, 80
33.20, 35
35.68, 63
39.01, 100
50.94, 21
52.14, 57
53.89, 19
61.83, 23
65.98, 18
68.51, 19


Entry 7:
The following is a theoretical powder diffraction line list of Co4SiH. It was derived from a structure optimized by DFT (PBE), using Cu Kα (λ = 1.5418 Å).

Structural model:
```
data_Co4SiH
_chemical_formula_sum 'Co8 Si2 H2'
_cell_length_a 5.2446
_cell_length_b 5.2446
_cell_length_c 4.4165
_cell_angle_alpha 99.84
_cell_angle_beta 99.84
_cell_angle_gamma 104.32
_space_group_name_H-M_alt 'P 1'
_space_group_IT_number 1
_space_group_name_Hall 'P 1'
loop_
_atom_site_label
_atom_site_fract_x
_atom_site_fract_y
_atom_site_fract_z
_atom_site_occupancy
Co1 0.0425 0.7542 0.9521 1
Co2 0.1887 0.4193 0.6284 1
Co3 0.2458 0.9575 0.5479 1
Co4 0.4193 0.1887 0.1284 1
Co5 0.5807 0.8113 0.8716 1
Co6 0.7542 0.0425 0.4521 1
Co7 0.8113 0.5807 0.3716 1
Co8 0.9575 0.2458 0.0479 1
Si1 0.3722 0.6278 0.2500 1
Si2 0.6278 0.3722 0.7500 1
H1 0.0030 0.9970 0.2500 1
H2 0.9970 0.0030 0.7500 1
```

Top 12 peaks for 15° ≤ 2θ ≤ 90°, sorted by position:
2theta, I/Imax
42.45, 60
43.71, 55
44.58, 60
46.40, 100
53.19, 37
54.99, 23
72.75, 13
73.67, 12
78.19, 9
81.85, 21
82.22, 13
86.21, 8


Entry 8:
The following is a theoretical powder diffraction line list of CoSnH2. It was derived from a structure optimized by DFT (PBE), using Cu Kα (λ = 1.5418 Å).

Structural model:
```
data_CoSnH2
_chemical_formula_sum 'Co1 Sn1 H2'
_cell_length_a 4.7414
_cell_length_b 4.7414
_cell_length_c 4.7414
_cell_angle_alpha 141.62
_cell_angle_beta 141.62
_cell_angle_gamma 55.41
_space_group_name_H-M_alt 'P 1'
_space_group_IT_number 1
_space_group_name_Hall 'P 1'
loop_
_atom_site_label
_atom_site_fract_x
_atom_site_fract_y
_atom_site_fract_z
_atom_site_occupancy
Co1 0.0000 0.0000 0.0000 1
Sn1 0.3116 0.3116 0.0000 1
H1 0.0687 0.5687 0.5000 1
H2 0.5687 0.0687 0.5000 1
```

Top 12 peaks for 15° ≤ 2θ ≤ 90°, sorted by position:
2theta, I/Imax
21.16, 34
30.59, 100
40.94, 58
43.10, 15
43.45, 97
46.53, 21
59.29, 20
60.95, 21
68.19, 21
76.06, 11
76.31, 37
81.47, 14